La4Tb15Pr: simulated X-ray powder pattern (Cu Kα), based on a structure optimized by DFT (PBE).
Neutral-atom scattering factors, no anomalous dispersion.

Atomic structure:
Cell lengths 5.1209, 5.1209, 25.4163 Å; angles 90.00, 90.00, 90.00 degrees
Fractional positions:
La1 0.0000 0.0000 0.1001
La2 0.0000 0.0000 0.2998
La3 0.0000 0.0000 0.7002
La4 0.0000 0.0000 0.8999
Tb1 0.0000 0.5000 0.0000
Tb2 0.0000 0.5000 0.2001
Tb3 0.0000 0.5000 0.4006
Tb4 0.0000 0.5000 0.5994
Tb5 0.0000 0.5000 0.7999
Tb6 0.5000 0.0000 0.0000
Tb7 0.5000 0.0000 0.2001
Tb8 0.5000 0.0000 0.4006
Tb9 0.5000 0.0000 0.5994
Tb10 0.5000 0.0000 0.7999
Tb11 0.5000 0.5000 0.1000
Tb12 0.5000 0.5000 0.3004
Tb13 0.5000 0.5000 0.5000
Tb14 0.5000 0.5000 0.6996
Tb15 0.5000 0.5000 0.9000
Pr1 0.0000 0.0000 0.5000

Top 10 peaks for 15° ≤ 2θ ≤ 90°, sorted by position:
hkl 1 1 5, 30.3°, 2.949 Å, intensity 100
hkl 2 0 0, 35.0°, 2.560 Å, intensity 34
hkl 0 0 10, 35.3°, 2.542 Å, intensity 17
hkl 2 2 0, 50.4°, 1.811 Å, intensity 12
hkl 2 0 10, 50.6°, 1.804 Å, intensity 24
hkl 3 1 5, 60.0°, 1.543 Å, intensity 29
hkl 1 1 15, 60.3°, 1.535 Å, intensity 14
hkl 2 2 10, 63.0°, 1.475 Å, intensity 12
hkl 3 3 5, 82.1°, 1.174 Å, intensity 6
hkl 3 1 15, 82.4°, 1.171 Å, intensity 12